1.
The following is a theoretical powder X-ray diffraction pattern of GaAgI4O12. It was derived from a crystal structure in OQMD, relaxed with PBE, using Cu Kα (weighted mean of Kα1 and Kα2).

Structure:
Unit cell a=7.028 b=7.532 c=9.953 alpha=87.62 beta=77.68 gamma=79.77
Space group P-1 (No. 2)
Inequivalent atoms, fractional coordinates:
Ga: 0.079 0.010 0.220 x2
Ag: 0.400 0.146 0.925 x2
I: 0.155 0.657 0.987 x2
I: 0.208 0.276 0.648 x2
I: 0.261 0.772 0.509 x2
I: 0.343 0.316 0.262 x2
O: 0.024 0.432 0.872 x2
O: 0.035 0.787 0.649 x2
O: 0.045 0.176 0.066 x2
O: 0.118 0.829 0.371 x2
O: 0.173 0.072 0.759 x2
O: 0.239 0.819 0.088 x2
O: 0.279 0.530 0.488 x2
O: 0.319 0.150 0.486 x2
O: 0.342 0.079 0.208 x2
O: 0.382 0.402 0.083 x2
O: 0.397 0.714 0.727 x2
O: 0.440 0.292 0.700 x2

Top 6 peaks for 2θ = 15–90°, by angle:
index  Position (°2θ)  I_rel
0 2 0  24.01  606
1 -1 2  24.66  570
1 2 1  25.98  772
-1 1 2  28.48  1000
2 1 -1  30.35  399
1 2 -2  33.08  378

2.
The following is a theoretical powder X-ray diffraction pattern of Li2InGaAg4. It was derived from a crystal structure in OQMD, relaxed with PBE, using Cu Kα (weighted mean of Kα1 and Kα2).

Structure:
Unit cell a=4.531 b=4.531 c=6.711 alpha=90.00 beta=90.00 gamma=90.00
Space group P-4m2 (No. 115)
Inequivalent atoms, fractional coordinates:
Li: 0.000 0.000 0.000 x1
Li: 0.500 0.500 0.500 x1
In: 0.000 0.000 0.500 x1
Ga: 0.500 0.500 0.000 x1
Ag: 0.000 0.500 0.232 x2
Ag: 0.000 0.500 0.767 x2

Top 6 peaks for 2θ = 15–90°, by angle:
index  Position (°2θ)  I_rel
1 0 1  23.69  291
1 1 0  27.84  189
1 1 2  38.86  1000
2 0 0  39.78  483
2 2 0  57.53  156
3 1 2  71.61  306

3.
The following is a theoretical powder X-ray diffraction pattern of InGaAg2S4. It was derived from a crystal structure in OQMD, relaxed with PBE, using Cu Kα (weighted mean of Kα1 and Kα2).

Structure:
Unit cell a=5.835 b=5.835 c=11.095 alpha=90.00 beta=90.00 gamma=90.00
Space group I-4 (No. 82)
Inequivalent atoms, fractional coordinates:
In: 0.000 0.000 0.000 x2
Ga: 0.000 0.500 0.750 x2
Ag: 0.000 0.000 0.500 x2
Ag: 0.000 0.500 0.250 x2
S: 0.227 0.735 0.869 x8

Top 6 peaks for 2θ = 15–90°, by angle:
index  Position (°2θ)  I_rel
1 1 2  26.93  1000
2 0 0  30.64  152
2 2 0  43.89  196
2 0 4  45.10  363
1 3 2  52.25  297
1 1 6  54.37  132

4.
The following is a theoretical powder X-ray diffraction pattern of In2GaAgS6. It was derived from a crystal structure in OQMD, relaxed with PBE, using Cu Kα (weighted mean of Kα1 and Kα2).

Structure:
Unit cell a=11.817 b=3.766 c=12.273 alpha=90.00 beta=116.22 gamma=90.00
Space group P2_1/m (No. 11)
Inequivalent atoms, fractional coordinates:
In: 0.137 0.250 0.093 x2
In: 0.260 0.750 0.506 x2
Ga: 0.419 0.750 0.261 x2
Ag: 0.080 0.250 0.652 x2
S: 0.062 0.250 0.370 x2
S: 0.096 0.750 0.940 x2
S: 0.224 0.750 0.696 x2
S: 0.225 0.750 0.273 x2
S: 0.400 0.250 0.146 x2
S: 0.416 0.250 0.548 x2

Top 6 peaks for 2θ = 15–90°, by angle:
index  Position (°2θ)  I_rel
2 0 -3  22.57  961
0 1 2  28.72  743
4 0 -1  31.02  714
3 1 0  34.81  846
1 1 -4  38.32  1000
5 1 -5  50.83  716

5.
The following is a theoretical powder X-ray diffraction pattern of Li2Mg2Ga2AgIr. It was derived from a crystal structure in OQMD, relaxed with PBE, using Cu Kα (weighted mean of Kα1 and Kα2).

Structure:
Unit cell a=4.438 b=4.438 c=6.362 alpha=90.00 beta=90.00 gamma=90.00
Space group P-4m2 (No. 115)
Inequivalent atoms, fractional coordinates:
Li: 0.000 0.000 0.000 x1
Li: 0.500 0.500 0.500 x1
Mg: 0.000 0.500 0.240 x2
Ga: 0.000 0.500 0.775 x2
Ag: 0.000 0.000 0.500 x1
Ir: 0.500 0.500 0.000 x1

Top 6 peaks for 2θ = 15–90°, by angle:
index  Position (°2θ)  I_rel
1 0 1  24.46  1000
1 1 2  40.37  725
2 0 0  40.66  366
1 0 3  47.52  164
2 1 1  48.02  325
3 1 2  73.80  236

6.
The following is a theoretical powder X-ray diffraction pattern of Y2Ga4AgIr. It was derived from a crystal structure in OQMD, relaxed with PBE, using Cu Kα (weighted mean of Kα1 and Kα2).

Structure:
Unit cell a=6.707 b=4.387 c=10.314 alpha=90.00 beta=90.00 gamma=90.00
Space group Amm2 (No. 38)
Inequivalent atoms, fractional coordinates:
Y: 0.000 0.000 0.000 x2
Y: 0.500 0.000 0.166 x2
Ga: 0.201 0.000 0.714 x4
Ga: 0.308 0.000 0.455 x4
Ag: 0.000 0.000 0.289 x2
Ir: 0.500 0.000 0.880 x2

Top 6 peaks for 2θ = 15–90°, by angle:
index  Position (°2θ)  I_rel
2 1 1  34.78  1000
1 1 3  35.78  991
1 0 4  37.36  441
0 2 0  41.15  515
2 1 3  42.95  503
3 1 1  46.43  349

7.
The following is a theoretical powder X-ray diffraction pattern of La3Ga8Ag3. It was derived from a crystal structure in OQMD, relaxed with PBE, using Cu Kα (weighted mean of Kα1 and Kα2).

Structure:
Unit cell a=4.484 b=9.572 c=13.538 alpha=90.00 beta=90.00 gamma=90.00
Space group Immm (No. 71)
Inequivalent atoms, fractional coordinates:
La: 0.000 0.000 0.000 x2
La: 0.000 0.000 0.301 x4
Ga: 0.000 0.280 0.144 x8
Ga: 0.000 0.366 0.341 x8
Ag: 0.000 0.198 0.500 x4
Ag: 0.000 0.500 0.000 x2

Top 6 peaks for 2θ = 15–90°, by angle:
index  Position (°2θ)  I_rel
1 2 3  33.84  1000
0 3 3  34.47  536
1 3 2  37.04  281
0 0 6  39.96  237
2 0 0  40.23  366
1 4 7  65.45  202

8.
The following is a theoretical powder X-ray diffraction pattern of LaGa2NiAg. It was derived from a crystal structure in OQMD, relaxed with PBE, using Cu Kα (weighted mean of Kα1 and Kα2).

Structure:
Unit cell a=4.321 b=4.321 c=10.419 alpha=90.00 beta=90.00 gamma=90.00
Space group P4/nmm (No. 129, origin choice 2)
Inequivalent atoms, fractional coordinates:
La: 0.250 0.250 0.232 x2
Ga: 0.250 0.250 0.657 x2
Ga: 0.250 0.750 0.000 x2
Ni: 0.250 0.250 0.885 x2
Ag: 0.250 0.750 0.500 x2

Top 6 peaks for 2θ = 15–90°, by angle:
index  Position (°2θ)  I_rel
1 0 3  33.09  355
1 1 2  34.02  1000
2 0 0  41.81  515
2 1 3  54.33  169
2 2 0  60.62  165
3 1 2  71.37  220